Starting from a structure optimized by DFT (PBE), the powder diffraction line list of Rb2Ba2O3 was calculated for Cu Kα, 1.54184 Å.

Top 6 peaks for 2θ from 15° to 90°, in order of rising 2θ:
| d [Å] | Position (°2θ) | Rel. int. | index |
| --- | --- | --- | --- |
| 3.362 | 26.51 | 44.2 | 2 0 -2 |
| 3.326 | 26.81 | 44.7 | 4 0 0 |
| 3.281 | 27.18 | 93.0 | 1 1 1 |
| 2.909 | 30.73 | 47.5 | 2 0 2 |
| 2.848 | 31.41 | 100.0 | 3 1 -1 |
| 2.043 | 44.33 | 42.1 | 1 1 -3 |

Structure:
```
data_Rb2Ba2O3
_space_group_name_H-M_alt 'C 1 2/m 1'
_space_group_IT_number 12
_cell_length_a 13.508
_cell_length_b 3.973
_cell_length_c 7.149
_cell_angle_alpha 90.00
_cell_angle_beta 99.99
_cell_angle_gamma 90.00
loop_
_space_group_symop_operation_xyz
'x,y,z'
'-x,-y,-z'
'-x,y,-z'
'x,-y,z'
'x+1/2,y+1/2,z'
'-x+1/2,-y+1/2,-z'
'-x+1/2,y+1/2,-z'
'x+1/2,-y+1/2,z'
loop_
_atom_site_label
_atom_site_fract_x
_atom_site_fract_y
_atom_site_fract_z
_atom_site_occupancy
Rb1 0.147 0.000 0.371 1
Ba1 0.130 0.500 0.916 1
O1 0.000 0.000 0.000 1
O2 0.238 0.000 0.778 1
```